Diffraction record for TlSF. The powder XRD pattern is computed, not measured: it uses a crystal structure in Alexandria, relaxed with GGA-PBE and Cu Kα (λ = 1.5418 Å).
Neutral-atom scattering factors, no anomalous dispersion.

Most intense lines, 10° ≤ 2θ ≤ 80°, sorted by position:
(3 0 0), 24.85°, rel. 100.0
(1 0 2), 25.13°, rel. 75.1
(1 1 0), 25.63°, rel. 93.7
(2 0 -2), 26.76°, rel. 81.7
(2 1 0), 29.45°, rel. 74.9
(2 0 2), 29.73°, rel. 26.9
(0 1 2), 33.52°, rel. 71.2
(1 1 -2), 33.95°, rel. 75.7
(3 1 -2), 40.58°, rel. 25.5
(3 1 2), 43.72°, rel. 28.7
(4 1 -2), 46.08°, rel. 35.2
(2 2 -2), 57.25°, rel. 31.9

```
data_TlSF
_space_group_name_H-M_alt 'P 1 21/c 1'
_space_group_IT_number 14
_cell_length_a 10.8128
_cell_length_b 3.6733
_cell_length_c 7.8428
_cell_angle_alpha 90.00
_cell_angle_beta 96.21
_cell_angle_gamma 90.00
loop_
_space_group_symop_operation_xyz
'x,y,z'
'-x,-y,-z'
'-x,y+1/2,-z+1/2'
'x,-y+1/2,z+1/2'
loop_
_atom_site_label
_atom_site_type_symbol
_atom_site_fract_x
_atom_site_fract_y
_atom_site_fract_z
_atom_site_occupancy
Tl1 Tl 0.1459 0.2495 0.1460 1
S1 S 0.4728 0.2166 0.4332 1
F1 F 0.0850 0.7497 0.3879 1
```